# Ag6Te3Au
Theoretical X-ray diffraction stick pattern, Cu Kα, 1.54184 Å. Input: the PBE geometry in Alexandria.
Kinematic intensities with the Lorentz-polarization factor, no thermal factor.

Top 12 peaks for 15° ≤ 2θ ≤ 90°, in order of rising 2θ:
2θ/deg, I_rel
27.03, 31
27.34, 31
28.15, 30
33.40, 91
34.24, 71
37.61, 78
38.31, 100
41.53, 44
42.00, 87
43.68, 29
64.01, 32
82.01, 31

Crystal structure
Cell lengths 9.529, 9.529, 5.037 Å; angles 90.00, 90.00, 93.59 degrees
Fractional positions:
Ag: 0.012 0.591 0.268
Ag: 0.053 0.947 0.500
Ag: 0.274 0.726 0.502
Ag: 0.298 0.405 0.623
Ag: 0.405 0.298 0.123
Ag: 0.409 0.988 0.268
Ag: 0.591 0.012 0.768
Ag: 0.595 0.702 0.623
Ag: 0.702 0.595 0.123
Ag: 0.726 0.274 0.002
Ag: 0.947 0.053 0.000
Ag: 0.988 0.409 0.768
Te: 0.085 0.300 0.265
Te: 0.300 0.085 0.765
Te: 0.383 0.617 0.985
Te: 0.617 0.383 0.485
Te: 0.700 0.915 0.265
Te: 0.915 0.700 0.765
Au: 0.162 0.838 0.020
Au: 0.838 0.162 0.520

=====

# Tm4InSi
Theoretical X-ray diffraction stick pattern, Cu Kα, 1.54184 Å. Input: the PBE geometry in Alexandria.
Kinematic intensities with the Lorentz-polarization factor, no thermal factor.

Top 12 peaks for 15° ≤ 2θ ≤ 90°, in order of rising 2θ:
2θ/deg, I_rel
28.20, 43
30.74, 51
31.89, 43
32.51, 53
32.92, 100
37.49, 16
42.72, 36
50.92, 18
56.06, 16
61.05, 19
69.25, 13
71.83, 17

Crystal structure
Cell lengths 8.699, 8.699, 6.808 Å; angles 103.39, 103.39, 41.45 degrees
Fractional positions:
Tm: 0.033 0.799 0.542
Tm: 0.201 0.967 0.958
Tm: 0.215 0.444 0.888
Tm: 0.444 0.215 0.388
Tm: 0.556 0.785 0.612
Tm: 0.785 0.556 0.112
Tm: 0.799 0.033 0.042
Tm: 0.967 0.201 0.458
In: 0.405 0.595 0.250
In: 0.595 0.405 0.750
Si: 0.000 0.500 0.500
Si: 0.500 0.000 0.000

=====

# Ca3TbCe2N6
Theoretical X-ray diffraction stick pattern, Cu Kα, 1.54184 Å. Input: the PBE geometry in Alexandria.
Kinematic intensities with the Lorentz-polarization factor, no thermal factor.

Top 12 peaks for 15° ≤ 2θ ≤ 90°, in order of rising 2θ:
2θ/deg, I_rel
15.42, 65
29.52, 37
30.89, 84
31.12, 28
35.89, 100
39.27, 16
51.50, 34
51.81, 32
54.09, 16
61.41, 25
64.37, 16
86.84, 14

Crystal structure
Cell lengths 6.148, 6.148, 6.099 Å; angles 99.64, 99.64, 120.04 degrees
Fractional positions:
Ca: 0.000 0.000 0.000
Ca: 0.334 0.666 0.000
Ca: 0.666 0.334 0.000
Tb: 0.500 0.500 0.500
Ce: 0.167 0.833 0.500
Ce: 0.833 0.167 0.500
N: 0.086 0.425 0.276
N: 0.236 0.236 0.725
N: 0.425 0.086 0.276
N: 0.575 0.914 0.724
N: 0.764 0.764 0.275
N: 0.914 0.575 0.724

=====

# RbSrCd4
Theoretical X-ray diffraction stick pattern, Cu Kα, 1.54184 Å. Input: the PBE geometry in Alexandria.
Kinematic intensities with the Lorentz-polarization factor, no thermal factor.

Top 12 peaks for 15° ≤ 2θ ≤ 90°, in order of rising 2θ:
2θ/deg, I_rel
20.83, 28
28.71, 50
28.92, 100
34.37, 76
34.89, 37
40.53, 19
42.39, 21
45.23, 15
45.79, 27
55.67, 37
56.03, 18
58.37, 13

Crystal structure
Cell lengths 4.265, 5.143, 9.084 Å; angles 90.00, 90.00, 90.00 degrees
Fractional positions:
Rb: 0.000 0.000 0.000
Sr: 0.000 0.500 0.500
Cd: 0.500 0.000 0.340
Cd: 0.500 0.000 0.660
Cd: 0.500 0.500 0.172
Cd: 0.500 0.500 0.828

=====

# TiCu2AuS4
Theoretical X-ray diffraction stick pattern, Cu Kα, 1.54184 Å. Input: the PBE geometry in Alexandria.
Kinematic intensities with the Lorentz-polarization factor, no thermal factor.

Top 12 peaks for 15° ≤ 2θ ≤ 90°, in order of rising 2θ:
2θ/deg, I_rel
18.32, 32
28.51, 100
29.56, 14
33.18, 13
38.17, 14
45.03, 7
47.31, 38
47.63, 18
55.89, 14
56.46, 28
76.43, 11
88.53, 12

Crystal structure
Cell lengths 6.671, 6.669, 5.400 Å; angles 66.14, 66.11, 47.75 degrees
Fractional positions:
Ti: 0.000 0.000 0.000
Cu: 0.250 0.250 0.250
Cu: 0.750 0.750 0.750
Au: 0.499 0.499 0.501
S: 0.101 0.633 0.367
S: 0.367 0.898 0.633
S: 0.633 0.101 0.899
S: 0.898 0.367 0.102

=====

# Cs4CuSn3Cl12
Theoretical X-ray diffraction stick pattern, Cu Kα, 1.54184 Å. Input: the PBE geometry in Alexandria.
Kinematic intensities with the Lorentz-polarization factor, no thermal factor.

Top 12 peaks for 15° ≤ 2θ ≤ 90°, in order of rising 2θ:
2θ/deg, I_rel
23.13, 100
28.43, 17
32.94, 60
40.64, 47
47.28, 42
53.27, 22
58.83, 14
64.07, 26
69.09, 7
73.95, 13
78.69, 18
87.98, 14

Crystal structure
Cell lengths 9.419, 9.419, 9.419 Å; angles 109.47, 109.47, 109.47 degrees
Fractional positions:
Cs: 0.000 0.000 0.500
Cs: 0.000 0.500 0.000
Cs: 0.500 0.000 0.000
Cs: 0.500 0.500 0.500
Cu: 0.000 0.000 0.000
Sn: 0.000 0.500 0.500
Sn: 0.500 0.000 0.500
Sn: 0.500 0.500 0.000
Cl: 0.000 0.240 0.240
Cl: 0.000 0.760 0.760
Cl: 0.240 0.000 0.240
Cl: 0.240 0.240 0.000
Cl: 0.250 0.500 0.750
Cl: 0.250 0.750 0.500
Cl: 0.500 0.250 0.750
Cl: 0.500 0.750 0.250
Cl: 0.750 0.250 0.500
Cl: 0.750 0.500 0.250
Cl: 0.760 0.000 0.760
Cl: 0.760 0.760 0.000

=====

# CsP2Br4
Theoretical X-ray diffraction stick pattern, Cu Kα, 1.54184 Å. Input: the PBE geometry in Alexandria.
Kinematic intensities with the Lorentz-polarization factor, no thermal factor.

Top 12 peaks for 15° ≤ 2θ ≤ 90°, in order of rising 2θ:
2θ/deg, I_rel
24.30, 100
25.99, 61
28.34, 22
28.45, 23
29.10, 17
29.21, 17
31.62, 45
31.69, 14
31.98, 17
33.30, 36
38.22, 16
38.39, 15

Crystal structure
Cell lengths 9.581, 9.581, 12.231 Å; angles 129.42, 129.42, 51.16 degrees
Fractional positions:
Cs: 0.000 0.000 0.000
Cs: 0.749 0.251 0.500
P: 0.189 0.442 0.566
P: 0.376 0.125 0.566
P: 0.558 0.811 0.434
P: 0.875 0.624 0.434
Br: 0.041 0.865 0.656
Br: 0.131 0.463 0.750
Br: 0.135 0.959 0.344
Br: 0.208 0.386 0.343
Br: 0.537 0.869 0.250
Br: 0.614 0.792 0.657
Br: 0.617 0.287 0.750
Br: 0.713 0.383 0.250

=====

# Ho4Er7Th
Theoretical X-ray diffraction stick pattern, Cu Kα, 1.54184 Å. Input: the PBE geometry in Alexandria.
Kinematic intensities with the Lorentz-polarization factor, no thermal factor.

Top 12 peaks for 15° ≤ 2θ ≤ 90°, in order of rising 2θ:
2θ/deg, I_rel
30.85, 42
31.82, 57
31.94, 100
32.05, 12
32.42, 50
32.80, 44
43.89, 16
45.91, 12
47.65, 16
56.22, 13
57.58, 11
58.65, 14

Crystal structure
Cell lengths 6.716, 6.916, 8.591 Å; angles 79.19, 76.95, 76.19 degrees
Fractional positions:
Ho: 0.157 0.270 0.316
Ho: 0.314 0.891 0.666
Ho: 0.686 0.109 0.334
Ho: 0.843 0.730 0.684
Er: 0.020 0.250 0.974
Er: 0.178 0.764 0.328
Er: 0.322 0.392 0.634
Er: 0.500 0.000 0.000
Er: 0.678 0.608 0.366
Er: 0.822 0.236 0.672
Er: 0.980 0.750 0.026
Th: 0.500 0.500 0.000

=====

# Nd3GaCo3
Theoretical X-ray diffraction stick pattern, Cu Kα, 1.54184 Å. Input: the PBE geometry in Alexandria.
Kinematic intensities with the Lorentz-polarization factor, no thermal factor.

Top 12 peaks for 15° ≤ 2θ ≤ 90°, in order of rising 2θ:
2θ/deg, I_rel
30.67, 87
32.25, 63
33.73, 100
34.43, 31
35.68, 92
39.63, 71
40.65, 48
41.06, 30
43.00, 59
54.75, 29
60.66, 28
60.95, 36

Crystal structure
Cell lengths 5.555, 5.555, 13.190 Å; angles 90.00, 90.00, 135.50 degrees
Fractional positions:
Nd: 0.003 0.997 0.750
Nd: 0.289 0.711 0.103
Nd: 0.289 0.711 0.397
Nd: 0.711 0.289 0.603
Nd: 0.711 0.289 0.897
Nd: 0.997 0.003 0.250
Ga: 0.000 0.000 0.000
Ga: 0.000 0.000 0.500
Co: 0.312 0.688 0.750
Co: 0.422 0.578 0.594
Co: 0.422 0.578 0.906
Co: 0.578 0.422 0.094
Co: 0.578 0.422 0.406
Co: 0.688 0.312 0.250

=====

# PmNdMgCu
Theoretical X-ray diffraction stick pattern, Cu Kα, 1.54184 Å. Input: the PBE geometry in Alexandria.
Kinematic intensities with the Lorentz-polarization factor, no thermal factor.

Top 12 peaks for 15° ≤ 2θ ≤ 90°, in order of rising 2θ:
2θ/deg, I_rel
20.62, 3
23.85, 32
33.98, 100
40.08, 2
41.94, 10
48.82, 18
55.04, 13
60.81, 36
71.52, 11
76.61, 7
81.60, 15
86.52, 4

Crystal structure
Cell lengths 5.276, 5.276, 5.276 Å; angles 60.00, 60.00, 60.00 degrees
Fractional positions:
Pm: 0.000 0.000 0.000
Nd: 0.500 0.500 0.500
Mg: 0.250 0.250 0.250
Cu: 0.750 0.750 0.750

=====

# TaInPd5
Theoretical X-ray diffraction stick pattern, Cu Kα, 1.54184 Å. Input: the PBE geometry in Alexandria.
Kinematic intensities with the Lorentz-polarization factor, no thermal factor.

Top 12 peaks for 15° ≤ 2θ ≤ 90°, in order of rising 2θ:
2θ/deg, I_rel
22.05, 10
25.06, 18
32.55, 8
39.67, 100
44.97, 37
48.37, 14
52.17, 5
65.49, 12
68.18, 16
79.36, 26
84.36, 6
85.46, 10

Crystal structure
Cell lengths 4.031, 4.031, 7.526 Å; angles 90.00, 90.00, 90.00 degrees
Fractional positions:
Ta: 0.000 0.000 0.000
In: 0.500 0.500 0.500
Pd: 0.000 0.000 0.500
Pd: 0.000 0.500 0.222
Pd: 0.000 0.500 0.778
Pd: 0.500 0.000 0.222
Pd: 0.500 0.000 0.778

=====

# Er3Cd11
Theoretical X-ray diffraction stick pattern, Cu Kα, 1.54184 Å. Input: the PBE geometry in Alexandria.
Kinematic intensities with the Lorentz-polarization factor, no thermal factor.

Top 12 peaks for 15° ≤ 2θ ≤ 90°, in order of rising 2θ:
2θ/deg, I_rel
30.89, 31
32.39, 16
32.63, 35
32.73, 100
34.04, 33
34.99, 53
37.89, 55
38.60, 52
50.85, 20
58.33, 13
64.72, 33
89.68, 14

Crystal structure
Cell lengths 8.712, 8.712, 8.712 Å; angles 148.37, 102.08, 86.52 degrees
Fractional positions:
Er: 0.000 0.000 0.000
Er: 0.283 0.283 0.000
Er: 0.717 0.717 0.000
Cd: 0.007 0.634 0.373
Cd: 0.127 0.850 0.277
Cd: 0.261 0.634 0.627
Cd: 0.342 0.500 0.842
Cd: 0.427 0.150 0.277
Cd: 0.500 0.000 0.500
Cd: 0.573 0.850 0.723
Cd: 0.658 0.500 0.158
Cd: 0.739 0.366 0.373
Cd: 0.873 0.150 0.723
Cd: 0.993 0.366 0.627